1.
CsRbMoSe2S: calculated powder XRD pattern (λ = 1.5418 Å (Cu Kα)), based on a DFT-relaxed cell (GGA-PBE, OQMD).
Kinematic intensities with the Lorentz-polarization factor, no thermal factor.

Main lines, sorted by position (2θ = 5–70°):
Position (°2θ)  Rel. int.
21.4  183
23.5  169
24.4  763
25.8  1000
32.2  153
33.3  143
35.1  151
36.0  141
36.6  168
40.2  237

Cell and atoms:
```
CsRbMoSe2S
1.0
7.296 0.000 0.000
3.393 7.258 0.000
3.397 0.928 8.320
Cs Rb Mo Se S
2 2 2 4 2
Direct
0.177 0.418 0.190 Cs
0.823 0.582 0.810 Cs
0.409 0.809 0.358 Rb
0.591 0.191 0.642 Rb
0.115 0.949 0.840 Mo
0.885 0.051 0.160 Mo
0.123 0.165 0.603 Se
0.319 0.640 0.767 Se
0.681 0.360 0.233 Se
0.877 0.835 0.397 Se
0.228 0.021 0.012 S
0.772 0.979 0.988 S
```

=====

2.
Cs2MoS3: calculated powder XRD pattern (λ = 1.5418 Å (Cu Kα)), based on a DFT-relaxed cell (GGA-PBE, OQMD).
Kinematic intensities with the Lorentz-polarization factor, no thermal factor.

Main lines, sorted by position (2θ = 5–70°):
Position (°2θ)  Rel. int.
23.3  644
23.8  169
26.5  298
27.3  1000
29.8  166
35.9  284
36.5  200
47.2  216
50.6  153
52.3  133

Cell and atoms:
```
Cs2MoS3
1.0
6.141 -4.631 0.000
6.141 4.631 0.000
0.000 0.000 6.728
Cs Mo S
4 2 6
Direct
0.003 0.672 0.750 Cs
0.328 0.997 0.750 Cs
0.672 0.003 0.250 Cs
0.997 0.328 0.250 Cs
0.406 0.594 0.250 Mo
0.594 0.406 0.750 Mo
0.164 0.836 0.250 S
0.380 0.380 0.000 S
0.380 0.380 0.500 S
0.620 0.620 0.000 S
0.620 0.620 0.500 S
0.836 0.164 0.750 S
```

=====

3.
Cs2MoSe2S: calculated powder XRD pattern (λ = 1.5418 Å (Cu Kα)), based on a DFT-relaxed cell (GGA-PBE, OQMD).
Kinematic intensities with the Lorentz-polarization factor, no thermal factor.

Main lines, sorted by position (2θ = 5–70°):
Position (°2θ)  Rel. int.
21.1  225
22.6  210
23.5  209
23.9  1000
25.2  713
25.8  677
32.5  195
33.8  217
36.2  197
39.9  231

Cell and atoms:
```
Cs2MoSe2S
1.0
7.454 0.000 0.000
3.276 7.387 0.000
3.396 1.190 8.436
Cs Mo Se S
4 2 4 2
Direct
0.086 0.192 0.147 Cs
0.337 0.569 0.307 Cs
0.663 0.431 0.693 Cs
0.914 0.808 0.853 Cs
0.388 0.048 0.657 Mo
0.612 0.952 0.343 Mo
0.183 0.351 0.720 Se
0.383 0.835 0.895 Se
0.617 0.165 0.105 Se
0.817 0.649 0.280 Se
0.283 0.966 0.489 S
0.717 0.034 0.511 S
```

=====

4.
CsMoSeS2: calculated powder XRD pattern (λ = 1.5418 Å (Cu Kα)), based on a DFT-relaxed cell (GGA-PBE, OQMD).
Kinematic intensities with the Lorentz-polarization factor, no thermal factor.

Main lines, sorted by position (2θ = 5–70°):
Position (°2θ)  Rel. int.
12.1  823
20.9  630
21.8  651
22.0  304
22.6  332
24.2  783
24.8  1000
26.0  326
34.3  855
38.1  376

Cell and atoms:
```
CsMoSeS2
1.0
5.751 0.000 0.000
-2.063 7.344 0.000
-1.615 -3.601 7.285
Cs Mo Se S
2 2 2 4
Direct
0.212 0.339 0.136 Cs
0.788 0.661 0.864 Cs
0.226 0.943 0.507 Mo
0.774 0.057 0.493 Mo
0.203 0.651 0.586 Se
0.797 0.349 0.414 Se
0.214 0.247 0.682 S
0.353 0.958 0.267 S
0.647 0.042 0.733 S
0.786 0.753 0.318 S
```

=====

5.
Cs2Sb2Mo: calculated powder XRD pattern (λ = 1.5418 Å (Cu Kα)), based on a DFT-relaxed cell (GGA-PBE, OQMD).
Kinematic intensities with the Lorentz-polarization factor, no thermal factor.

Main lines, sorted by position (2θ = 5–70°):
Position (°2θ)  Rel. int.
24.6  1000
29.3  614
30.3  221
31.7  197
34.4  182
37.8  245
42.7  296
44.5  194
47.3  206
50.0  184

Cell and atoms:
```
Cs2Sb2Mo
1.0
3.970 -8.821 0.000
3.970 8.821 0.000
0.000 0.000 5.652
Cs Sb Mo
4 4 2
Direct
0.083 0.917 0.750 Cs
0.278 0.722 0.250 Cs
0.722 0.278 0.750 Cs
0.917 0.083 0.250 Cs
0.206 0.422 0.750 Sb
0.422 0.206 0.250 Sb
0.578 0.794 0.750 Sb
0.794 0.578 0.250 Sb
0.500 0.500 0.000 Mo
0.500 0.500 0.500 Mo
```

=====

6.
CsMo6Se7: calculated powder XRD pattern (λ = 1.5418 Å (Cu Kα)), based on a DFT-relaxed cell (GGA-PBE, OQMD).
Kinematic intensities with the Lorentz-polarization factor, no thermal factor.

Main lines, sorted by position (2θ = 5–70°):
Position (°2θ)  Rel. int.
11.1  1000
17.8  127
28.2  127
28.3  170
31.8  169
33.4  190
38.7  196
43.1  523
43.9  157
50.7  188

Cell and atoms:
```
CsMo6Se7
1.0
4.869 2.811 8.253
-4.869 2.811 8.253
0.000 -5.623 8.253
Cs Mo Se
2 12 14
Direct
0.126 0.126 0.126 Cs
0.874 0.874 0.874 Cs
0.194 0.384 0.507 Mo
0.305 0.623 0.438 Mo
0.377 0.562 0.695 Mo
0.384 0.507 0.194 Mo
0.438 0.305 0.623 Mo
0.493 0.806 0.616 Mo
0.507 0.194 0.384 Mo
0.562 0.695 0.377 Mo
0.616 0.493 0.806 Mo
0.623 0.438 0.305 Mo
0.695 0.377 0.562 Mo
0.806 0.616 0.493 Mo
0.080 0.698 0.330 Se
0.127 0.487 0.743 Se
0.257 0.873 0.513 Se
0.280 0.280 0.280 Se
0.302 0.670 0.920 Se
0.330 0.080 0.698 Se
0.487 0.743 0.127 Se
0.513 0.257 0.873 Se
0.670 0.920 0.302 Se
0.698 0.330 0.080 Se
0.720 0.720 0.720 Se
0.743 0.127 0.487 Se
0.873 0.513 0.257 Se
0.920 0.302 0.670 Se
```

=====

7.
CsTe5Mo3: calculated powder XRD pattern (λ = 1.5418 Å (Cu Kα)), based on a DFT-relaxed cell (GGA-PBE, OQMD).
Kinematic intensities with the Lorentz-polarization factor, no thermal factor.

Main lines, sorted by position (2θ = 5–70°):
Position (°2θ)  Rel. int.
10.4  624
26.8  759
29.2  793
35.5  181
36.2  245
40.1  1000
42.3  245
50.4  266
52.3  310
60.6  250

Cell and atoms:
```
CsTe5Mo3
1.0
6.109 0.000 0.000
-3.054 5.290 0.000
0.000 0.000 8.538
Cs Te Mo
1 5 3
Direct
0.000 0.000 0.000 Cs
0.000 0.000 0.500 Te
0.333 0.667 0.252 Te
0.333 0.667 0.748 Te
0.667 0.333 0.252 Te
0.667 0.333 0.748 Te
0.000 0.500 0.500 Mo
0.500 0.000 0.500 Mo
0.500 0.500 0.500 Mo
```

=====

8.
Cs5NaW4N10: calculated powder XRD pattern (λ = 1.5418 Å (Cu Kα)), based on a DFT-relaxed cell (GGA-PBE, OQMD).
Kinematic intensities with the Lorentz-polarization factor, no thermal factor.

Main lines, sorted by position (2θ = 5–70°):
Position (°2θ)  Rel. int.
17.3  47
25.0  50
26.9  42
28.1  48
28.4  1000
40.7  107
44.5  50
50.4  303
58.9  89
66.7  85

Cell and atoms:
```
Cs5NaW4N10
1.0
-7.012 7.012 4.447
7.012 -7.012 4.447
7.012 7.012 -4.447
Cs Na W N
10 2 8 20
Direct
0.000 0.000 0.000 Cs
0.219 0.494 0.079 Cs
0.244 0.665 0.775 Cs
0.362 0.144 0.571 Cs
0.415 0.140 0.921 Cs
0.541 0.612 0.718 Cs
0.573 0.791 0.429 Cs
0.750 0.250 0.500 Cs
0.890 0.469 0.225 Cs
0.894 0.823 0.282 Cs
0.263 0.763 0.500 Na
0.513 0.513 0.000 Na
0.041 0.137 0.694 W
0.097 0.291 0.404 W
0.313 0.922 0.187 W
0.443 0.347 0.306 W
0.672 0.984 0.109 W
0.734 0.126 0.813 W
0.876 0.563 0.891 W
0.887 0.693 0.596 W
0.026 0.180 0.532 N
0.035 0.734 0.516 N
0.085 0.730 0.052 N
0.218 0.519 0.484 N
0.244 0.276 0.346 N
0.269 0.285 0.801 N
0.308 0.885 0.341 N
0.385 0.142 0.205 N
0.480 0.928 0.145 N
0.484 0.468 0.199 N
0.544 0.968 0.659 N
0.635 0.794 0.076 N
0.647 0.494 0.468 N
0.678 0.033 0.948 N
0.718 0.558 0.924 N
0.783 0.335 0.855 N
0.892 0.186 0.256 N
0.930 0.635 0.744 N
0.930 0.897 0.654 N
0.936 0.180 0.795 N
```

=====

9.
CsTcNO: calculated powder XRD pattern (λ = 1.5418 Å (Cu Kα)), based on a DFT-relaxed cell (GGA-PBE, OQMD).
Kinematic intensities with the Lorentz-polarization factor, no thermal factor.

Main lines, sorted by position (2θ = 5–70°):
Position (°2θ)  Rel. int.
23.7  106
24.6  120
29.2  237
29.4  1000
30.0  168
31.8  351
33.3  213
43.7  157
55.2  172
56.0  160

Cell and atoms:
```
CsTcNO
1.0
6.122 0.000 0.000
0.000 8.947 0.000
0.000 0.000 5.628
Cs Tc N O
4 4 4 4
Direct
0.033 0.148 0.000 Cs
0.467 0.148 0.500 Cs
0.533 0.852 0.000 Cs
0.967 0.852 0.500 Cs
0.088 0.578 0.986 Tc
0.412 0.578 0.486 Tc
0.588 0.422 0.986 Tc
0.912 0.422 0.486 Tc
0.141 0.527 0.648 N
0.359 0.527 0.148 N
0.641 0.473 0.648 N
0.859 0.473 0.148 N
0.032 0.784 0.997 O
0.468 0.784 0.497 O
0.532 0.216 0.997 O
0.968 0.216 0.497 O
```

=====

10.
CsPd3N5: calculated powder XRD pattern (λ = 1.5418 Å (Cu Kα)), based on a DFT-relaxed cell (GGA-PBE, OQMD).
Kinematic intensities with the Lorentz-polarization factor, no thermal factor.

Main lines, sorted by position (2θ = 5–70°):
Position (°2θ)  Rel. int.
14.5  540
24.2  1000
29.2  339
36.8  287
39.0  519
41.8  181
48.8  125
49.5  633
54.7  210
60.6  126

Cell and atoms:
```
CsPd3N5
1.0
5.332 0.000 0.000
-2.666 4.617 0.000
0.000 0.000 6.115
Cs Pd N
1 3 5
Direct
0.000 0.000 0.000 Cs
0.000 0.500 0.500 Pd
0.500 0.000 0.500 Pd
0.500 0.500 0.500 Pd
0.000 0.000 0.500 N
0.333 0.667 0.282 N
0.333 0.667 0.718 N
0.667 0.333 0.282 N
0.667 0.333 0.718 N
```

=====

11.
CsRb2Na2ReO6: calculated powder XRD pattern (λ = 1.5418 Å (Cu Kα)), based on a DFT-relaxed cell (GGA-PBE, OQMD).
Kinematic intensities with the Lorentz-polarization factor, no thermal factor.

Main lines, sorted by position (2θ = 5–70°):
Position (°2θ)  Rel. int.
15.5  626
15.6  422
19.7  530
27.7  556
29.7  811
31.5  355
33.1  1000
36.7  407
47.6  293
47.8  310

Cell and atoms:
```
CsRb2Na2ReO6
1.0
3.320 -5.729 0.000
3.320 5.729 0.000
-1.423 0.000 5.682
Cs Rb Na Re O
1 2 2 1 6
Direct
0.000 0.000 0.000 Cs
0.174 0.826 0.500 Rb
0.826 0.174 0.500 Rb
0.377 0.623 0.000 Na
0.623 0.377 0.000 Na
0.500 0.500 0.500 Re
0.222 0.460 0.304 O
0.310 0.310 0.700 O
0.460 0.222 0.304 O
0.540 0.778 0.696 O
0.690 0.690 0.300 O
0.778 0.540 0.696 O
```

=====

12.
CsNa4ReO6: calculated powder XRD pattern (λ = 1.5418 Å (Cu Kα)), based on a DFT-relaxed cell (GGA-PBE, OQMD).
Kinematic intensities with the Lorentz-polarization factor, no thermal factor.

Main lines, sorted by position (2θ = 5–70°):
Position (°2θ)  Rel. int.
18.2  774
20.8  1000
25.7  554
30.0  316
31.2  268
33.4  417
35.3  217
36.8  709
37.8  335
49.2  223

Cell and atoms:
```
CsNa4ReO6
1.0
3.076 -4.868 0.000
3.076 4.868 0.000
-1.448 0.000 5.733
Cs Na Re O
1 4 1 6
Direct
0.000 0.000 0.000 Cs
0.166 0.834 0.500 Na
0.348 0.652 0.000 Na
0.652 0.348 0.000 Na
0.834 0.166 0.500 Na
0.500 0.500 0.500 Re
0.188 0.470 0.308 O
0.293 0.293 0.694 O
0.470 0.188 0.308 O
0.530 0.812 0.692 O
0.707 0.707 0.306 O
0.812 0.530 0.692 O
```